The following is a theoretical powder diffractogram of Cs4Pb3Cl10. It was derived from a structure optimized by DFT (GGA-PBE), using λ = 1.5418 Å (Cu Kα).

Peak list (10 most intense, 5° ≤ 2θ ≤ 70°, in order of falling intensity)
hkl, Position (°2θ), I/Imax
1 1 0, 21.90, 100.0
2 1 7, 38.42, 43.3
2 0 0, 31.20, 32.7
2 2 0, 44.66, 30.3
3 1 0, 50.32, 15.9
0 0 14, 31.10, 13.0
3 1 14, 60.33, 11.6
2 2 14, 55.46, 9.6
0 0 6, 13.19, 8.8
3 2 7, 60.40, 8.3

Structure:
a = 5.7329 Å, b = 5.7329 Å, c = 40.2648 Å
α = 90.00°, β = 90.00°, γ = 90.00°
Space group I4/mmm (No. 139)
Symmetry-distinct sites (fractional):
Cs  0.0000  0.0000  0.0686 x4
Cs  0.0000  0.0000  0.2009 x4
Pb  0.0000  0.0000  0.3560 x4
Pb  0.0000  0.0000  0.5000 x2
Cl  0.0000  0.0000  0.2861 x4
Cl  0.0000  0.0000  0.4289 x4
Cl  0.0000  0.5000  0.0000 x4
Cl  0.0000  0.5000  0.1417 x8